# Ho2Zn5Ga3
Simulated X-ray diffraction stick pattern, Cu Kα X-rays. Input: DFT lattice parameters and positions (PBE).
Neutral-atom scattering factors, no anomalous dispersion.

Structure:
```
data_Ho2Zn5Ga3
_cell_length_a 4.1269
_cell_length_b 4.1269
_cell_length_c 10.7337
_cell_angle_alpha 90.00
_cell_angle_beta 90.00
_cell_angle_gamma 90.00
_space_group_name_H-M_alt 'P -4 m 2'
_space_group_IT_number 115
loop_
_space_group_symop_operation_xyz
'x,y,z'
'y,-x,-z'
'-x,-y,z'
'-y,x,-z'
'-x,y,z'
'-y,-x,-z'
'x,-y,z'
'y,x,-z'
loop_
_atom_site_label
_atom_site_type_symbol
_atom_site_fract_x
_atom_site_fract_y
_atom_site_fract_z
Ho1 Ho 0.0000 0.5000 0.2494
Zn1 Zn 0.0000 0.0000 0.5000
Zn2 Zn 0.0000 0.5000 0.6332
Zn3 Zn 0.5000 0.5000 0.0000
Zn4 Zn 0.5000 0.5000 0.5000
Ga1 Ga 0.0000 0.0000 0.0000
Ga2 Ga 0.0000 0.5000 0.8564
```

Main lines, in order of rising 2θ (2θ from 10° to 90°):
two_theta  I (rel.)  hkl
30.64  17  1 1 0
33.14  59  1 0 3
33.39  8  0 0 4
35.00  100  1 1 2
43.88  49  2 0 0
47.76  33  1 0 5
56.07  26  2 1 3
60.72  10  1 1 6
63.79  16  2 2 0
66.85  24  2 1 5
74.88  21  3 1 2
86.53  11  2 0 8